(1)
Diffraction record for KNaIn4. The X-ray powder pattern is theoretical, not measured: it uses a crystal structure in Alexandria, relaxed with PBE and Cu Kα.
Neutral-atom scattering factors, no anomalous dispersion.

Cell and atoms:
a = 5.095 Å, b = 5.095 Å, c = 8.324 Å
α = 90.00°, β = 90.00°, γ = 120.00°
Positions (direct):
K 0.000 0.000 0.000
Na 0.000 0.000 0.500
In 0.333 0.667 0.298
In 0.333 0.667 0.702
In 0.667 0.333 0.298
In 0.667 0.333 0.702

Largest 10 diffraction maxima, in order of rising 2θ, 10° ≤ 2θ ≤ 90°:
Position (°2θ), I/Imax
10.63, 29
20.13, 40
21.35, 43
29.50, 76
32.26, 22
35.23, 100
41.56, 46
46.60, 21
48.51, 40
67.17, 21

---

(2)
Diffraction record for Rb3AuF7. The X-ray powder pattern is theoretical, not measured: it uses a crystal structure in Alexandria, relaxed with PBE and Cu Kα.
Neutral-atom scattering factors, no anomalous dispersion.

Cell and atoms:
a = 8.234 Å, b = 8.234 Å, c = 6.351 Å
α = 90.00°, β = 90.00°, γ = 90.00°
Positions (direct):
Rb 0.000 0.000 0.000
Rb 0.185 0.315 0.500
Rb 0.315 0.815 0.500
Rb 0.500 0.500 0.000
Rb 0.685 0.185 0.500
Rb 0.815 0.685 0.500
Au 0.000 0.500 0.000
Au 0.500 0.000 0.000
F 0.000 0.000 0.500
F 0.121 0.621 0.243
F 0.121 0.621 0.757
F 0.167 0.333 0.000
F 0.333 0.833 0.000
F 0.379 0.121 0.243
F 0.379 0.121 0.757
F 0.500 0.500 0.500
F 0.621 0.879 0.243
F 0.621 0.879 0.757
F 0.667 0.167 0.000
F 0.833 0.667 0.000
F 0.879 0.379 0.243
F 0.879 0.379 0.757

Largest 10 diffraction maxima, in order of rising 2θ, 10° ≤ 2θ ≤ 90°:
Position (°2θ), I/Imax
15.22, 37
20.69, 17
25.79, 100
28.08, 39
30.71, 39
37.36, 41
42.11, 33
48.34, 19
51.69, 17
57.89, 17

---

(3)
Diffraction record for Nd6Tm2Tl. The X-ray powder pattern is theoretical, not measured: it uses a crystal structure in Alexandria, relaxed with PBE and Cu Kα.
Neutral-atom scattering factors, no anomalous dispersion.

Cell and atoms:
a = 11.423 Å, b = 11.423 Å, c = 11.423 Å
α = 147.36°, β = 132.41°, γ = 58.90°
Positions (direct):
Nd 0.008 0.444 0.791
Nd 0.080 0.080 0.000
Nd 0.153 0.944 0.436
Nd 0.347 0.783 0.791
Nd 0.420 0.420 0.000
Nd 0.492 0.283 0.436
Nd 0.508 0.717 0.564
Nd 0.580 0.580 0.000
Nd 0.653 0.217 0.209
Nd 0.847 0.056 0.564
Nd 0.920 0.920 0.000
Nd 0.992 0.556 0.209
Tm 0.173 0.417 0.590
Tm 0.327 0.917 0.244
Tm 0.673 0.083 0.756
Tm 0.827 0.583 0.410
Tl 0.250 0.250 0.000
Tl 0.750 0.750 0.000

Largest 10 diffraction maxima, in order of rising 2θ, 10° ≤ 2θ ≤ 90°:
Position (°2θ), I/Imax
27.36, 40
27.80, 28
31.89, 94
32.30, 100
32.48, 80
33.29, 70
43.91, 40
59.12, 25
59.55, 23
65.62, 25

---

(4)
Diffraction record for Cs2K2TcO6. The X-ray powder pattern is theoretical, not measured: it uses a crystal structure in Alexandria, relaxed with PBE and Cu Kα.
Neutral-atom scattering factors, no anomalous dispersion.

Cell and atoms:
a = 6.383 Å, b = 6.383 Å, c = 6.931 Å
α = 99.49°, β = 99.49°, γ = 116.85°
Positions (direct):
Cs 0.174 0.826 0.000
Cs 0.826 0.174 0.000
K 0.344 0.656 0.500
K 0.656 0.344 0.500
Tc 0.000 0.000 0.500
O 0.049 0.298 0.665
O 0.174 0.174 0.329
O 0.298 0.049 0.665
O 0.702 0.951 0.335
O 0.826 0.826 0.671
O 0.951 0.702 0.335

Largest 10 diffraction maxima, in order of rising 2θ, 10° ≤ 2θ ≤ 90°:
Position (°2θ), I/Imax
16.18, 100
21.20, 66
27.11, 50
28.13, 42
29.48, 70
32.46, 49
33.43, 90
46.64, 27
47.93, 26
55.81, 23

---

(5)
Diffraction record for KInCoCl6. The X-ray powder pattern is theoretical, not measured: it uses a crystal structure in Alexandria, relaxed with PBE and Cu Kα.
Neutral-atom scattering factors, no anomalous dispersion.

Cell and atoms:
a = 6.533 Å, b = 6.533 Å, c = 6.997 Å
α = 90.19°, β = 90.19°, γ = 120.11°
Positions (direct):
K 0.000 0.000 0.000
In 0.666 0.334 0.500
Co 0.332 0.668 0.500
Cl 0.012 0.377 0.703
Cl 0.013 0.633 0.296
Cl 0.367 0.987 0.704
Cl 0.373 0.385 0.293
Cl 0.615 0.627 0.707
Cl 0.623 0.988 0.297

Largest 10 diffraction maxima, in order of rising 2θ, 10° ≤ 2θ ≤ 90°:
Position (°2θ), I/Imax
12.65, 100
15.67, 34
20.16, 73
20.26, 37
30.16, 29
30.24, 48
37.59, 41
37.74, 53
44.28, 20
48.29, 35

---

(6)
Diffraction record for MgCo. The X-ray powder pattern is theoretical, not measured: it uses a crystal structure in Alexandria, relaxed with PBE and Cu Kα.
Neutral-atom scattering factors, no anomalous dispersion.

Cell and atoms:
a = 5.193 Å, b = 5.193 Å, c = 4.430 Å
α = 114.51°, β = 114.51°, γ = 33.62°
Positions (direct):
Mg 0.107 0.107 0.355
Mg 0.893 0.893 0.645
Co 0.347 0.347 0.100
Co 0.653 0.653 0.900

Largest 10 diffraction maxima, in order of rising 2θ, 10° ≤ 2θ ≤ 90°:
Position (°2θ), I/Imax
22.27, 45
22.51, 46
40.26, 38
40.74, 58
41.40, 100
41.68, 97
42.69, 31
61.76, 16
74.39, 21
76.65, 16

---

(7)
Diffraction record for Ta2Zn. The X-ray powder pattern is theoretical, not measured: it uses a crystal structure in Alexandria, relaxed with PBE and Cu Kα.
Neutral-atom scattering factors, no anomalous dispersion.

Cell and atoms:
a = 7.098 Å, b = 7.098 Å, c = 3.526 Å
α = 90.00°, β = 90.00°, γ = 120.00°
Positions (direct):
Ta 0.000 0.263 0.000
Ta 0.000 0.601 0.500
Ta 0.263 0.000 0.000
Ta 0.399 0.399 0.500
Ta 0.601 0.000 0.500
Ta 0.737 0.737 0.000
Zn 0.000 0.000 0.500
Zn 0.333 0.667 0.000
Zn 0.667 0.333 0.000

Largest 10 diffraction maxima, in order of rising 2θ, 10° ≤ 2θ ≤ 90°:
Position (°2θ), I/Imax
35.91, 100
38.76, 47
38.87, 49
44.20, 28
51.87, 16
60.29, 18
66.59, 19
70.47, 14
72.14, 23
83.20, 12

---

(8)
Diffraction record for Ba2ThS6. The X-ray powder pattern is theoretical, not measured: it uses a crystal structure in Alexandria, relaxed with PBE and Cu Kα.
Neutral-atom scattering factors, no anomalous dispersion.

Cell and atoms:
a = 5.545 Å, b = 5.545 Å, c = 16.226 Å
α = 90.00°, β = 90.00°, γ = 90.00°
Positions (direct):
Ba 0.250 0.750 0.113
Ba 0.250 0.750 0.387
Ba 0.750 0.250 0.613
Ba 0.750 0.250 0.887
Th 0.250 0.750 0.750
Th 0.750 0.250 0.250
S 0.061 0.750 0.583
S 0.250 0.250 0.225
S 0.250 0.250 0.725
S 0.250 0.561 0.917
S 0.250 0.939 0.917
S 0.439 0.750 0.583
S 0.561 0.250 0.417
S 0.750 0.061 0.083
S 0.750 0.439 0.083
S 0.750 0.750 0.275
S 0.750 0.750 0.775
S 0.939 0.250 0.417

Largest 10 diffraction maxima, in order of rising 2θ, 10° ≤ 2θ ≤ 90°:
Position (°2θ), I/Imax
10.91, 35
22.68, 94
22.97, 100
31.95, 52
32.29, 58
33.13, 21
40.00, 86
40.52, 23
46.06, 27
62.82, 31

---

(9)
Diffraction record for Pm3ZnPd3. The X-ray powder pattern is theoretical, not measured: it uses a crystal structure in Alexandria, relaxed with PBE and Cu Kα.
Neutral-atom scattering factors, no anomalous dispersion.

Cell and atoms:
a = 5.766 Å, b = 5.766 Å, c = 15.485 Å
α = 106.47°, β = 106.47°, γ = 40.86°
Positions (direct):
Pm 0.020 0.020 0.387
Pm 0.105 0.105 0.924
Pm 0.235 0.235 0.227
Pm 0.765 0.765 0.773
Pm 0.895 0.895 0.076
Pm 0.980 0.980 0.613
Zn 0.270 0.270 0.614
Zn 0.730 0.730 0.386
Pd 0.359 0.359 0.464
Pd 0.381 0.381 0.924
Pd 0.479 0.479 0.767
Pd 0.521 0.521 0.233
Pd 0.619 0.619 0.076
Pd 0.641 0.641 0.536

Largest 10 diffraction maxima, in order of rising 2θ, 10° ≤ 2θ ≤ 90°:
Position (°2θ), I/Imax
31.55, 64
32.10, 100
33.20, 41
33.43, 58
36.54, 35
37.32, 37
38.83, 26
39.14, 75
45.04, 45
64.66, 26

---

(10)
Diffraction record for Sr3CaAu. The X-ray powder pattern is theoretical, not measured: it uses a crystal structure in Alexandria, relaxed with PBE and Cu Kα.
Neutral-atom scattering factors, no anomalous dispersion.

Cell and atoms:
a = 7.305 Å, b = 7.305 Å, c = 15.365 Å
α = 114.04°, β = 114.04°, γ = 34.25°
Positions (direct):
Sr 0.000 0.000 0.000
Sr 0.002 0.002 0.610
Sr 0.322 0.322 0.377
Sr 0.338 0.338 0.739
Sr 0.675 0.675 0.867
Sr 0.787 0.787 0.146
Ca 0.536 0.536 0.236
Ca 0.656 0.656 0.496
Au 0.341 0.341 0.020
Au 0.997 0.997 0.369

Largest 10 diffraction maxima, in order of rising 2θ, 10° ≤ 2θ ≤ 90°:
Position (°2θ), I/Imax
12.70, 99
14.02, 30
19.16, 37
27.09, 68
28.32, 54
28.51, 40
29.03, 31
29.69, 100
30.08, 56
42.01, 32

---

(11)
Diffraction record for Mg2Si3Pd5. The X-ray powder pattern is theoretical, not measured: it uses a crystal structure in Alexandria, relaxed with PBE and Cu Kα.
Neutral-atom scattering factors, no anomalous dispersion.

Cell and atoms:
a = 11.868 Å, b = 11.868 Å, c = 6.584 Å
α = 90.00°, β = 90.00°, γ = 160.47°
Positions (direct):
Mg 0.021 0.979 0.500
Mg 0.319 0.681 0.375
Mg 0.681 0.319 0.875
Mg 0.979 0.021 0.000
Si 0.113 0.887 0.258
Si 0.278 0.722 0.858
Si 0.454 0.546 0.284
Si 0.546 0.454 0.784
Si 0.722 0.278 0.358
Si 0.887 0.113 0.758
Pd 0.099 0.901 0.876
Pd 0.204 0.796 0.581
Pd 0.211 0.789 0.144
Pd 0.382 0.618 0.007
Pd 0.448 0.552 0.654
Pd 0.552 0.448 0.154
Pd 0.618 0.382 0.507
Pd 0.789 0.211 0.644
Pd 0.796 0.204 0.081
Pd 0.901 0.099 0.376

Largest 10 diffraction maxima, in order of rising 2θ, 10° ≤ 2θ ≤ 90°:
Position (°2θ), I/Imax
24.89, 26
28.40, 34
31.18, 23
37.12, 38
37.55, 66
40.30, 100
41.33, 37
41.88, 32
45.05, 52
48.69, 23

---

(12)
Diffraction record for MgBePd4. The X-ray powder pattern is theoretical, not measured: it uses a crystal structure in Alexandria, relaxed with PBE and Cu Kα.
Neutral-atom scattering factors, no anomalous dispersion.

Cell and atoms:
a = 4.655 Å, b = 4.655 Å, c = 7.722 Å
α = 111.03°, β = 111.03°, γ = 35.71°
Positions (direct):
Mg 0.000 0.000 0.000
Be 0.500 0.500 0.500
Pd 0.127 0.127 0.374
Pd 0.337 0.337 0.172
Pd 0.663 0.663 0.828
Pd 0.873 0.873 0.626

Largest 10 diffraction maxima, in order of rising 2θ, 10° ≤ 2θ ≤ 90°:
Position (°2θ), I/Imax
26.16, 65
34.05, 17
35.72, 28
37.06, 100
39.15, 57
40.92, 17
44.12, 67
46.05, 19
47.69, 35
71.71, 20

---

(13)
Diffraction record for LiSi2Ni5. The X-ray powder pattern is theoretical, not measured: it uses a crystal structure in Alexandria, relaxed with PBE and Cu Kα.
Neutral-atom scattering factors, no anomalous dispersion.

Cell and atoms:
a = 6.152 Å, b = 6.152 Å, c = 6.152 Å
α = 154.59°, β = 108.94°, γ = 76.84°
Positions (direct):
Li 0.000 0.000 0.000
Si 0.255 0.755 0.500
Si 0.745 0.245 0.500
Ni 0.140 0.365 0.775
Ni 0.410 0.635 0.775
Ni 0.500 0.000 0.500
Ni 0.590 0.365 0.225
Ni 0.860 0.635 0.225

Largest 10 diffraction maxima, in order of rising 2θ, 10° ≤ 2θ ≤ 90°:
Position (°2θ), I/Imax
15.43, 95
24.90, 28
42.95, 98
43.73, 66
45.38, 100
51.02, 48
51.09, 29
52.42, 23
69.46, 37
86.97, 45